Starting from a cell relaxed with PBE+U, the X-ray powder pattern of MnFe3Bi4O12 was simulated for Cu Kα X-rays.

Main lines, most intense first (2θ = 5–70°):
two_theta	I/Imax	hkl
31.4	100	1 2 1
31.6	99	1 1 -2
31.8	99	2 1 1
39.1	46	0 0 4
22.1	41	0 1 -1
22.2	40	1 0 -1

Structural model:
Cell: 5.6237 5.6893 9.7552 Å, 73.34 73.55 60.49°
Atoms (fractional coordinates):
Mn (0.0000, 0.0000, 0.0000)
Fe (0.2288, 0.2686, 0.2554)
Fe (0.4837, 0.5081, 0.5053)
Fe (0.7456, 0.7567, 0.7550)
Bi (0.0741, 0.2010, 0.6417)
Bi (0.3311, 0.4460, 0.8957)
Bi (0.5659, 0.7101, 0.1477)
Bi (0.8165, 0.9603, 0.3906)
O (0.1665, 0.5417, 0.6703)
O (0.1752, 0.1352, 0.0824)
O (0.2033, 0.6298, 0.1068)
O (0.3076, 0.8443, 0.3637)
O (0.3434, 0.8796, 0.8419)
O (0.3573, 0.2931, 0.4233)
O (0.6733, 0.0636, 0.1502)
O (0.6914, 0.6144, 0.5952)
O (0.7219, 0.0909, 0.6127)
O (0.8112, 0.3774, 0.3386)
O (0.8194, 0.3475, 0.8703)
O (0.8750, 0.8106, 0.9103)